[1]
Simulated powder diffraction line list of MgSi for Cu Kα (weighted mean of Kα1 and Kα2), from a DFT-relaxed cell (GGA-PBE, the Materials Project).
Lines closer than 0.1° are merged.

Cell and atoms:
Cell: 4.9997 5.0317 9.2066 Å, 94.49 95.07 107.49°
Atoms (fractional coordinates):
Mg 0.0000 0.0000 0.0000
Mg 0.0639 0.5564 0.2035
Mg 0.3548 0.4050 0.6647
Mg 0.4863 0.5200 0.9995
Mg 0.7934 0.3384 0.4627
Mg 0.8888 0.8790 0.6658
Si 0.1728 0.1194 0.3342
Si 0.3528 0.8633 0.5198
Si 0.4686 0.9877 0.8303
Si 0.5233 0.0483 0.1484
Si 0.6868 0.7782 0.3332
Si 0.8994 0.4190 0.8316

Principal peaks in the range 5 to 70 degrees two-theta, most intense first:
2θ/deg  I_rel
36.88  100.0
37.13  87.6
38.13  74.3
38.75  66.2
37.94  65.6
44.82  50.2
61.01  33.6
46.90  31.7
66.87  19.2
37.72  16.0

---

[2]
Simulated powder diffraction line list of TeO2 for Cu Kα (weighted mean of Kα1 and Kα2), from a DFT-relaxed cell (GGA-PBE, the Materials Project).
Lines closer than 0.1° are merged.

Cell and atoms:
Cell: 5.0979 5.0979 3.4189 Å, 90.00 90.00 90.00°
Atoms (fractional coordinates):
Te 0.0000 0.0000 0.0000
Te 0.5000 0.5000 0.5000
O 0.1976 0.1976 0.5000
O 0.3024 0.6976 0.0000
O 0.6976 0.3024 0.0000
O 0.8024 0.8024 0.5000

Principal peaks in the range 5 to 70 degrees two-theta, most intense first:
2θ/deg  I_rel
24.70  100.0
31.51  83.2
47.96  69.5
35.21  23.0
60.88  20.8
50.65  17.2
59.88  16.5
57.14  16.1
53.61  8.3
65.78  8.3

---

[3]
Simulated powder diffraction line list of NbRh2 for Cu Kα (weighted mean of Kα1 and Kα2), from a DFT-relaxed cell (GGA-PBE, the Materials Project).
Lines closer than 0.1° are merged.

Cell and atoms:
Cell: 4.8404 2.8176 6.9398 Å, 90.00 102.15 90.00°
Atoms (fractional coordinates):
Nb 0.2330 0.0000 0.1735
Nb 0.7670 0.0000 0.8265
Rh 0.0000 0.0000 0.5000
Rh 0.2694 0.5000 0.8347
Rh 0.5000 0.5000 0.5000
Rh 0.7306 0.5000 0.1653

Principal peaks in the range 5 to 70 degrees two-theta, most intense first:
2θ/deg  I_rel
40.91  100.0
43.53  79.9
39.86  69.7
41.69  40.2
43.06  34.5
37.14  30.1
66.83  28.9
37.53  22.9
38.07  17.8
66.35  15.0

---

[4]
Simulated powder diffraction line list of Li2CrFeAs2 for Cu Kα (weighted mean of Kα1 and Kα2), from a DFT-relaxed cell (GGA-PBE, the Materials Project).
Lines closer than 0.1° are merged.

Cell and atoms:
Cell: 3.9271 3.9271 6.1314 Å, 90.00 90.00 90.00°
Atoms (fractional coordinates):
Li 0.0000 0.0000 0.0000
Li 0.5000 0.5000 0.0000
Cr 0.0000 0.0000 0.5000
Fe 0.5000 0.5000 0.5000
As 0.0000 0.5000 0.2723
As 0.5000 0.0000 0.7277

Principal peaks in the range 5 to 70 degrees two-theta, most intense first:
2θ/deg  I_rel
26.96  100.0
44.00  81.0
14.45  74.6
46.24  36.4
54.34  27.8
50.33  14.9
55.86  14.0
35.49  13.5
48.69  12.0
67.46  11.1

---

[5]
Simulated powder diffraction line list of TmAsO4 for Cu Kα (weighted mean of Kα1 and Kα2), from a DFT-relaxed cell (GGA-PBE, the Materials Project).
Lines closer than 0.1° are merged.

Cell and atoms:
Cell: 5.9090 5.9090 5.9090 Å, 106.55 106.55 115.49°
Atoms (fractional coordinates):
Tm 0.3750 0.6250 0.7500
Tm 0.6250 0.3750 0.2500
As 0.1250 0.8750 0.2500
As 0.8750 0.1250 0.7500
O 0.1273 0.6947 0.4326
O 0.2379 0.3053 0.9326
O 0.3053 0.2379 0.4326
O 0.3053 0.8727 0.0674
O 0.6947 0.1273 0.9326
O 0.6947 0.7621 0.5674
O 0.7621 0.6947 0.0674
O 0.8727 0.3053 0.5674

Principal peaks in the range 5 to 70 degrees two-theta, most intense first:
2θ/deg  I_rel
25.20  100.0
33.61  74.3
50.02  61.1
35.94  24.3
18.86  22.4
63.12  17.8
51.74  15.5
58.40  14.8
64.74  12.8
40.89  9.0

---

> What is the formula in the second record?

TeO2